This entry pairs a crystal structure of GeS5I with its simulated powder XRD pattern. Radiation: Cu Kα X-rays. Structure: DFT lattice parameters and positions (PBE).
Kinematic intensities with the Lorentz-polarization factor, no thermal factor.

The 10 most intense peaks (2θ from 5° to 70°), in order of rising 2θ:
2θ (°)  Rel. int.  h k l
11.77  100.0  0 1 0
18.03  42.5  0 1 -1
22.93  46.7  0 1 2
23.67  20.7  0 2 0
23.80  44.9  0 2 1
25.88  27.9  1 0 0
28.79  27.8  1 1 0
29.33  28.3  1 -1 1
34.03  20.2  0 0 3
36.74  17.3  -1 2 1

Cell and atoms:
```
7
Lattice="3.5280 0.0000 0.0000 0.1781 7.7179 0.0000 1.7625 1.8339 7.9042" Properties=species:S:1:pos:R:3 pbc="T T T"
Ge 0.0000 0.0000 0.0000
S 1.6425 6.2206 4.9958
S 1.7663 2.3601 5.7790
S 1.9427 6.5186 0.7871
S 3.6311 5.3454 5.7947
S 3.5261 2.1147 0.8704
I 3.5318 1.9444 3.2774
```